Diffraction record for Er3Zn2Ga4. The X-ray diffraction stick pattern is theoretical, not measured: it uses the GGA-PBE geometry in Alexandria and Cu Kα.
No peak broadening, texture or thermal motion is included.

a b c (Å): 5.6782 5.6782 8.3692
angles (deg): 109.02 109.02 45.22
Atoms (fractional coordinates):
Er: 0.0000 0.0000 0.0000
Er: 0.3308 0.3308 0.3333
Er: 0.6692 0.6692 0.6667
Zn: 0.3962 0.3962 0.7267
Zn: 0.6038 0.6038 0.2733
Ga: 0.0648 0.0648 0.3987
Ga: 0.2941 0.2941 0.9588
Ga: 0.7059 0.7059 0.0412
Ga: 0.9352 0.9352 0.6013

Principal peaks in the range 5° ≤ 2θ ≤ 70°, by angle:
| two_theta | d/Å | I_rel |
| --- | --- | --- |
| 23.54 | 3.780 | 24 |
| 34.28 | 2.616 | 100 |
| 34.36 | 2.610 | 20 |
| 41.37 | 2.182 | 62 |
| 48.15 | 1.890 | 4 |
| 50.41 | 1.810 | 11 |
| 54.77 | 1.676 | 26 |
| 54.89 | 1.673 | 5 |
| 67.13 | 1.394 | 18 |
| 67.29 | 1.391 | 9 |